1.
Structure and computed X-ray powder pattern of Sr2ZnIBrO2 (the GGA-PBE geometry in OQMD; CuKα).
Intensities are scaled so that the largest is 100.

Structural model:
Cell lengths 9.778, 9.778, 9.778 Å; angles 155.74, 155.74, 34.57 degrees
Sites, in units of the cell vectors:
Sr 0.000 0.000 0.000
Sr 0.175 0.175 0.000
Zn 0.588 0.588 0.000
I 0.767 0.767 0.000
Br 0.429 0.429 0.000
O 0.089 0.589 0.500
O 0.589 0.089 0.500

The 12 most intense peaks (15 to 90 degrees two-theta), in order of falling intensity:
2theta  d [Å]  I (rel.)
32.4  2.764  100
30.8  2.905  80
55.8  1.649  41
44.1  2.054  39
40.3  2.237  33
26.0  3.429  22
61.3  1.513  19
36.4  2.467  14
72.8  1.299  14
68.4  1.372  13
64.1  1.453  12
76.8  1.240  12

***

2.
Structure and computed X-ray powder pattern of OsI4Br (the GGA-PBE geometry in OQMD; CuKα).
Intensities are scaled so that the largest is 100.

Structural model:
Cell lengths 6.875, 7.298, 9.830 Å; angles 108.88, 90.49, 117.49 degrees
Sites, in units of the cell vectors:
Os 0.105 0.218 0.218
Os 0.895 0.782 0.782
I 0.125 0.602 0.841
I 0.248 0.194 0.957
I 0.322 0.016 0.263
I 0.455 0.605 0.359
I 0.545 0.395 0.641
I 0.678 0.984 0.737
I 0.752 0.806 0.043
I 0.875 0.398 0.159
Br 0.065 0.816 0.566
Br 0.935 0.184 0.434

The 12 most intense peaks (15 to 90 degrees two-theta), in order of falling intensity:
2theta  d [Å]  I (rel.)
30.3  2.948  100
29.9  2.989  55
39.6  2.276  33
16.1  5.507  26
30.5  2.934  24
52.3  1.750  24
39.8  2.264  21
28.9  3.091  20
46.2  1.965  20
46.1  1.968  18
47.5  1.913  17
39.4  2.285  15

***

3.
Structure and computed X-ray powder pattern of PaI2Br2 (the GGA-PBE geometry in OQMD; CuKα).
Intensities are scaled so that the largest is 100.

Structural model:
Cell lengths 8.467, 8.467, 8.467 Å; angles 117.44, 111.57, 99.88 degrees
Sites, in units of the cell vectors:
Pa 0.000 0.246 0.246
Pa 0.000 0.754 0.754
I 0.198 0.698 0.500
I 0.204 0.204 0.000
I 0.796 0.796 0.000
I 0.802 0.302 0.500
Br 0.283 0.240 0.523
Br 0.283 0.760 0.044
Br 0.717 0.240 0.956
Br 0.717 0.760 0.477

The 12 most intense peaks (15 to 90 degrees two-theta), in order of falling intensity:
2theta  d [Å]  I (rel.)
26.0  3.422  100
43.1  2.100  51
33.3  2.687  46
46.5  1.954  34
29.3  3.048  33
18.6  4.761  33
32.2  2.779  26
37.8  2.381  18
32.9  2.725  17
41.1  2.198  17
35.9  2.505  15
42.5  2.125  15

***

4.
Structure and computed X-ray powder pattern of Rb2PdIBr3 (the GGA-PBE geometry in OQMD; CuKα).
Intensities are scaled so that the largest is 100.

Structural model:
Cell lengths 4.662, 7.815, 7.815 Å; angles 93.32, 90.00, 90.00 degrees
Sites, in units of the cell vectors:
Rb 0.000 0.235 0.765
Rb 0.000 0.765 0.235
Pd 0.500 0.250 0.250
I 0.500 0.494 0.494
Br 0.500 0.016 0.016
Br 0.500 0.031 0.469
Br 0.500 0.469 0.031

The 12 most intense peaks (15 to 90 degrees two-theta), in order of falling intensity:
2theta  d [Å]  I (rel.)
29.9  2.992  100
24.7  3.604  52
31.5  2.842  44
33.4  2.682  44
19.0  4.662  42
22.2  4.002  33
50.7  1.801  31
38.6  2.331  30
46.6  1.950  29
25.3  3.518  25
52.0  1.759  24
42.0  2.152  23

***

5.
Structure and computed X-ray powder pattern of Tl2PdIBr3 (the GGA-PBE geometry in OQMD; CuKα).
Intensities are scaled so that the largest is 100.

Structural model:
Cell lengths 4.409, 7.580, 7.580 Å; angles 90.31, 90.00, 90.00 degrees
Sites, in units of the cell vectors:
Tl 0.000 0.239 0.761
Tl 0.000 0.761 0.239
Pd 0.500 0.753 0.753
I 0.500 0.509 0.509
Br 0.500 0.523 0.982
Br 0.500 0.982 0.523
Br 0.500 0.986 0.986

The 12 most intense peaks (15 to 90 degrees two-theta), in order of falling intensity:
2theta  d [Å]  I (rel.)
31.1  2.874  100
26.2  3.405  99
16.6  5.355  43
33.3  2.687  39
33.5  2.673  37
43.0  2.103  29
48.0  1.895  28
53.9  1.700  23
40.9  2.205  22
42.9  2.108  21
64.9  1.437  21
53.8  1.704  18

***

6.
Structure and computed X-ray powder pattern of Tl2PdI2Br2 (the GGA-PBE geometry in OQMD; CuKα).
Intensities are scaled so that the largest is 100.

Structural model:
Cell lengths 4.482, 7.715, 7.700 Å; angles 90.00, 90.00, 90.00 degrees
Sites, in units of the cell vectors:
Tl 0.000 0.000 0.000
Tl 0.000 0.500 0.458
Pd 0.500 0.500 0.982
I 0.500 0.261 0.742
I 0.500 0.739 0.742
Br 0.500 0.270 0.211
Br 0.500 0.730 0.211

The 12 most intense peaks (15 to 90 degrees two-theta), in order of falling intensity:
2theta  d [Å]  I (rel.)
30.6  2.922  100
25.7  3.461  88
32.9  2.725  69
42.2  2.141  43
16.3  5.450  37
52.9  1.731  36
57.3  1.609  29
47.1  1.929  23
40.2  2.241  21
63.7  1.461  19
23.0  3.874  14
47.2  1.925  11

***

Q: Number 4 is which compound?
A: Rb2PdIBr3